The following is a computed powder diffraction line list of BO2F6. It was derived from the GGA-PBE geometry in Alexandria, using a wavelength of 1.5418 Å.
Intensities are scaled so that the largest is 100.

Largest 10 diffraction maxima, low angle first, 2θ = 10–90°:
19.1 deg, I 46; 24.3 deg, I 71; 24.6 deg, I 46; 27.8 deg, I 34; 28.7 deg, I 30; 29.8 deg, I 100; 36.9 deg, I 44; 37.3 deg, I 79; 39.0 deg, I 56; 39.4 deg, I 76

Structural model:
Cell lengths 7.022, 7.022, 8.438 Å; angles 117.49, 117.49, 42.64 degrees
Sites, in units of the cell vectors:
B 0.078 0.922 0.750
B 0.922 0.078 0.250
O 0.221 0.446 0.857
O 0.446 0.221 0.357
O 0.554 0.779 0.643
O 0.779 0.554 0.143
F 0.030 0.176 0.825
F 0.166 0.350 0.677
F 0.176 0.030 0.325
F 0.239 0.750 0.608
F 0.250 0.761 0.892
F 0.350 0.166 0.177
F 0.650 0.834 0.823
F 0.750 0.239 0.108
F 0.761 0.250 0.392
F 0.824 0.970 0.675
F 0.834 0.650 0.323
F 0.970 0.824 0.175